The following is a theoretical X-ray powder pattern of La4Cd3Hg2. It was derived from a cell relaxed with PBE, using Cu Kα X-rays.
Lines closer than 0.1° are merged.

Top 6 peaks for 2θ = 5–70°, sorted by position:
| Position (°2θ) | I_rel |
| --- | --- |
| 32.2 | 923 |
| 33.2 | 1000 |
| 47.0 | 323 |
| 58.7 | 329 |
| 59.3 | 187 |
| 64.0 | 129 |

a = 5.3973 Å, b = 5.3973 Å, c = 10.3535 Å
α = 90.00°, β = 90.00°, γ = 120.00°
Space group P-3m1 (No. 164)
Asymmetric unit:
La: 0.0000 0.0000 0.1594
La: 0.3333 0.6667 0.3745
Cd: 0.0000 0.0000 0.5000
Cd: 0.3333 0.6667 0.0027
Hg: 0.3333 0.6667 0.6909